No. 1
The following is a calculated X-ray diffraction stick pattern of PuH14C16N4Cl6. It was derived from DFT lattice parameters and positions (PBE), using Cu Kα, 1.54184 Å.
Lines closer than 0.1° are merged.

The 10 most intense peaks (2θ = 10–90°), most intense first:
| h k l | d_spacing | intensity |
| --- | --- | --- |
| 1 0 -1 | 4.820 | 100 |
| 0 1 0 | 7.926 | 100 |
| 2 -1 0 | 3.165 | 91 |
| 0 1 1 | 6.272 | 83 |
| 1 0 1 | 6.582 | 75 |
| 1 2 0 | 3.485 | 59 |
| 1 0 0 | 6.983 | 58 |
| 0 1 -1 | 5.627 | 57 |
| 1 1 0 | 5.307 | 54 |
| 1 0 2 | 4.436 | 41 |

Atomic structure:
```
data_PuH14C16N4Cl6
_chemical_formula_sum 'Pu1 H14 C16 N4 Cl6'
_cell_length_a 7.363
_cell_length_b 7.989
_cell_length_c 9.455
_cell_angle_alpha 82.94
_cell_angle_beta 71.57
_cell_angle_gamma 86.39
_space_group_name_H-M_alt 'P -1'
_space_group_IT_number 2
_space_group_name_Hall '-P 1'
loop_
_atom_site_label
_atom_site_type_symbol
_atom_site_fract_x
_atom_site_fract_y
_atom_site_fract_z
Pu1 Pu 0.000 0.000 0.000
H1 H 0.134 0.184 0.455
H2 H 0.156 0.349 0.655
H3 H 0.234 0.305 0.188
H4 H 0.253 0.631 0.723
H5 H 0.362 0.595 0.115
H6 H 0.395 0.892 0.630
H7 H 0.463 0.859 0.195
C1 C 0.190 0.311 0.425
C2 C 0.201 0.402 0.537
C3 C 0.247 0.380 0.274
C4 C 0.275 0.566 0.497
C5 C 0.296 0.668 0.602
C6 C 0.319 0.541 0.232
C7 C 0.336 0.635 0.343
C8 C 0.413 0.799 0.310
N1 N 0.373 0.817 0.555
N2 N 0.435 0.888 0.411
Cl1 Cl 0.026 0.986 0.268
Cl2 Cl 0.151 0.295 0.935
Cl3 Cl 0.337 0.854 0.906
```

=====

No. 2
The following is a calculated X-ray diffraction stick pattern of PuH10C10N2Cl6. It was derived from DFT lattice parameters and positions (PBE), using Cu Kα, 1.54184 Å.
Lines closer than 0.1° are merged.

The 10 most intense peaks (2θ = 10–90°), most intense first:
| h k l | d_spacing | intensity |
| --- | --- | --- |
| 1 1 0 | 7.666 | 100 |
| 1 1 1 | 4.875 | 75 |
| 1 1 -1 | 5.395 | 43 |
| 2 2 -1 | 3.502 | 36 |
| 2 0 0 | 6.631 | 36 |
| 2 0 2 | 2.851 | 28 |
| 2 0 -1 | 5.255 | 26 |
| 0 0 1 | 6.868 | 26 |
| 3 3 -1 | 2.479 | 25 |
| 3 1 -1 | 3.724 | 21 |

Atomic structure:
```
data_PuH10C10N2Cl6
_chemical_formula_sum 'Pu2 H20 C20 N4 Cl12'
_cell_length_a 13.473
_cell_length_b 9.394
_cell_length_c 6.977
_cell_angle_alpha 90.00
_cell_angle_beta 100.14
_cell_angle_gamma 90.00
_space_group_name_H-M_alt 'C 1 2/m 1'
_space_group_IT_number 12
_space_group_name_Hall '-C 2y'
loop_
_atom_site_label
_atom_site_type_symbol
_atom_site_fract_x
_atom_site_fract_y
_atom_site_fract_z
Pu1 Pu 0.000 0.000 0.000
H1 H 0.060 0.268 0.438
H2 H 0.209 0.279 0.273
H3 H 0.226 0.000 0.794
C1 C 0.045 0.500 0.452
C2 C 0.089 0.372 0.406
C3 C 0.172 0.374 0.314
N1 N 0.210 0.500 0.270
Cl1 Cl 0.112 0.193 0.874
Cl2 Cl 0.122 0.000 0.330
```